Entry 1:
This entry pairs a crystal structure of Pa4S6F with its simulated XRD peak list. Radiation: copper Kα. Structure: a GGA-PBE-relaxed structure.
Peak positions follow from Bragg's law for the DFT cell and can differ from measured ones.

The 12 most intense peaks (10° ≤ 2θ ≤ 80°), low angle first:
Position (°2θ), Rel. int.
24.57, 100
26.57, 45
31.88, 37
34.26, 30
40.66, 55
43.26, 34
44.50, 24
50.38, 14
54.72, 25
60.87, 13
66.64, 19
69.45, 13

Structure:
```
data_Pa4S6F
_symmetry_space_group_name_H-M 'P -6 m 2'
_symmetry_Int_Tables_number 187
_symmetry_space_group_name_Hall 'P -6 2'
_cell_length_a 8.3662
_cell_length_b 8.3662
_cell_length_c 3.7852
_cell_angle_alpha 90.00
_cell_angle_beta 90.00
_cell_angle_gamma 120.00
loop_
_atom_site_label
_atom_site_fract_x
_atom_site_fract_y
_atom_site_fract_z
Pa1 0.0000 0.0000 0.0000
Pa2 0.0355 0.5177 0.5000
S1 0.2072 0.4143 0.0000
S2 0.2845 0.1423 0.5000
F1 0.6667 0.3333 0.0000
```



Entry 2:
This entry pairs a crystal structure of PrCuCl6 with its simulated XRD peak list. Radiation: copper Kα. Structure: a GGA-PBE-relaxed structure.
Peak positions follow from Bragg's law for the DFT cell and can differ from measured ones.

The 12 most intense peaks (10° ≤ 2θ ≤ 80°), low angle first:
Position (°2θ), Rel. int.
13.50, 100
21.02, 38
21.28, 32
22.87, 20
25.04, 53
27.52, 19
27.98, 14
30.70, 20
34.61, 39
34.85, 21
38.10, 20
42.75, 22

Structure:
```
data_PrCuCl6
_symmetry_space_group_name_H-M 'P -1'
_symmetry_Int_Tables_number 2
_symmetry_space_group_name_Hall '-P 1'
_cell_length_a 5.3853
_cell_length_b 6.8891
_cell_length_c 7.2251
_cell_angle_alpha 70.57
_cell_angle_beta 75.06
_cell_angle_gamma 89.52
loop_
_atom_site_label
_atom_site_fract_x
_atom_site_fract_y
_atom_site_fract_z
Pr1 0.0000 0.0000 0.0000
Cu1 0.5000 0.5000 0.0000
Cl1 0.0048 0.8009 0.3868
Cl2 0.2702 0.4031 0.8242
Cl3 0.4591 0.8276 0.8372
```



Entry 3:
This entry pairs a crystal structure of KTcI5 with its simulated XRD peak list. Radiation: copper Kα. Structure: a GGA-PBE-relaxed structure.
Peak positions follow from Bragg's law for the DFT cell and can differ from measured ones.

The 12 most intense peaks (10° ≤ 2θ ≤ 80°), low angle first:
Position (°2θ), Rel. int.
11.36, 100
12.65, 78
17.57, 42
22.83, 34
26.11, 70
26.54, 66
26.88, 60
27.11, 56
30.82, 72
31.68, 68
35.55, 56
46.69, 35

Structure:
```
data_KTcI5
_symmetry_space_group_name_H-M 'C 1 2/c 1'
_symmetry_Int_Tables_number 15
_symmetry_space_group_name_Hall '-C 2yc'
_cell_length_a 12.0308
_cell_length_b 15.5792
_cell_length_c 7.9057
_cell_angle_alpha 90.00
_cell_angle_beta 122.94
_cell_angle_gamma 90.00
loop_
_atom_site_label
_atom_site_fract_x
_atom_site_fract_y
_atom_site_fract_z
K1 0.0000 0.1573 0.2500
Tc1 0.2500 0.2500 0.0000
I1 0.0000 0.1746 0.7500
I2 0.1735 0.3353 0.2239
I3 0.1936 0.3919 0.7687
```



Entry 4:
This entry pairs a crystal structure of Li14TlIn with its simulated XRD peak list. Radiation: copper Kα. Structure: a GGA-PBE-relaxed structure.
Peak positions follow from Bragg's law for the DFT cell and can differ from measured ones.

The 12 most intense peaks (10° ≤ 2θ ≤ 80°), low angle first:
Position (°2θ), Rel. int.
14.28, 75
17.88, 89
22.96, 100
25.39, 39
29.25, 54
34.10, 37
36.22, 25
38.76, 42
39.12, 26
40.67, 23
43.32, 38
50.59, 24

Structure:
```
data_Li14TlIn
_symmetry_space_group_name_H-M 'P 4/m m m'
_symmetry_Int_Tables_number 123
_symmetry_space_group_name_Hall '-P 4 2'
_cell_length_a 7.0154
_cell_length_b 7.0154
_cell_length_c 6.2009
_cell_angle_alpha 90.00
_cell_angle_beta 90.00
_cell_angle_gamma 90.00
loop_
_atom_site_label
_atom_site_fract_x
_atom_site_fract_y
_atom_site_fract_z
Li1 0.0000 0.0000 0.0000
Li2 0.0000 0.5000 0.0000
Li3 0.0000 0.5000 0.5000
Li4 0.2500 0.2500 0.2609
Li5 0.5000 0.5000 0.0000
Tl1 0.0000 0.0000 0.5000
In1 0.5000 0.5000 0.5000
```



Entry 5:
This entry pairs a crystal structure of LiAcDyHo with its simulated XRD peak list. Radiation: copper Kα. Structure: a GGA-PBE-relaxed structure.
Peak positions follow from Bragg's law for the DFT cell and can differ from measured ones.

The 12 most intense peaks (10° ≤ 2θ ≤ 80°), low angle first:
Position (°2θ), Rel. int.
19.10, 34
22.09, 4
31.44, 100
37.05, 20
45.06, 19
49.36, 9
55.97, 40
59.70, 7
65.62, 12
69.04, 7
74.57, 17
77.82, 2

Structure:
```
data_LiAcDyHo
_symmetry_space_group_name_H-M 'F -4 3 m'
_symmetry_Int_Tables_number 216
_symmetry_space_group_name_Hall 'F -4 2 3'
_cell_length_a 8.0484
_cell_length_b 8.0484
_cell_length_c 8.0484
_cell_angle_alpha 90.00
_cell_angle_beta 90.00
_cell_angle_gamma 90.00
loop_
_atom_site_label
_atom_site_fract_x
_atom_site_fract_y
_atom_site_fract_z
Li1 0.0000 0.0000 0.0000
Ac1 0.0000 0.0000 0.5000
Dy1 0.2500 0.2500 0.2500
Ho1 0.2500 0.2500 0.7500
```



Entry 6:
This entry pairs a crystal structure of Si2PPb with its simulated XRD peak list. Radiation: copper Kα. Structure: a GGA-PBE-relaxed structure.
Peak positions follow from Bragg's law for the DFT cell and can differ from measured ones.

The 12 most intense peaks (10° ≤ 2θ ≤ 80°), low angle first:
Position (°2θ), Rel. int.
16.91, 62
27.67, 100
28.00, 28
32.31, 20
32.89, 40
40.02, 25
43.27, 14
43.73, 11
48.72, 29
49.35, 40
78.17, 11
78.97, 12

Structure:
```
data_Si2PPb
_symmetry_space_group_name_H-M 'I -4 2 d'
_symmetry_Int_Tables_number 122
_symmetry_space_group_name_Hall 'I -4 2bw'
_cell_length_a 6.3724
_cell_length_b 6.3724
_cell_length_c 9.2301
_cell_angle_alpha 90.00
_cell_angle_beta 90.00
_cell_angle_gamma 90.00
loop_
_atom_site_label
_atom_site_fract_x
_atom_site_fract_y
_atom_site_fract_z
Si1 0.1898 0.2500 0.1250
P1 0.0000 0.0000 0.0000
Pb1 0.0000 0.0000 0.5000
```



Entry 7:
This entry pairs a crystal structure of AlAg8S6 with its simulated XRD peak list. Radiation: copper Kα. Structure: a GGA-PBE-relaxed structure.
Peak positions follow from Bragg's law for the DFT cell and can differ from measured ones.

The 12 most intense peaks (10° ≤ 2θ ≤ 80°), low angle first:
Position (°2θ), Rel. int.
14.45, 61
25.02, 53
26.20, 39
28.68, 100
29.13, 49
31.07, 43
36.39, 75
36.66, 56
42.29, 47
42.76, 47
43.65, 65
48.42, 38

Structure:
```
data_AlAg8S6
_symmetry_space_group_name_H-M 'P m n 21'
_symmetry_Int_Tables_number 31
_symmetry_space_group_name_Hall 'P 2ac -2'
_cell_length_a 7.7505
_cell_length_b 7.5714
_cell_length_c 10.4477
_cell_angle_alpha 90.00
_cell_angle_beta 90.00
_cell_angle_gamma 90.00
loop_
_atom_site_label
_atom_site_fract_x
_atom_site_fract_y
_atom_site_fract_z
Al1 0.0000 0.2500 0.0000
Ag1 0.0000 0.6273 0.5075
Ag2 0.0000 0.7029 0.9574
Ag3 0.1987 0.0999 0.3469
Ag4 0.2049 0.5291 0.7475
Ag5 0.2163 0.1535 0.6311
S1 0.0000 0.0130 0.1357
S2 0.0000 0.2878 0.4896
S3 0.0000 0.4858 0.1317
S4 0.0000 0.7967 0.7296
S5 0.2419 0.2426 0.8796
```



Entry 8:
This entry pairs a crystal structure of AlCu3Si3 with its simulated XRD peak list. Radiation: copper Kα. Structure: a GGA-PBE-relaxed structure.
Peak positions follow from Bragg's law for the DFT cell and can differ from measured ones.

The 12 most intense peaks (10° ≤ 2θ ≤ 80°), low angle first:
Position (°2θ), Rel. int.
10.77, 27
17.39, 37
29.65, 17
32.40, 27
38.30, 100
40.87, 23
43.20, 24
43.27, 41
47.42, 32
48.76, 32
49.90, 21
70.38, 18

Structure:
```
data_AlCu3Si3
_symmetry_space_group_name_H-M 'P m m n'
_symmetry_Int_Tables_number 59
_cell_length_a 3.7353
_cell_length_b 6.5035
_cell_length_c 8.2133
_cell_angle_alpha 90.00
_cell_angle_beta 90.00
_cell_angle_gamma 90.00
loop_
_symmetry_equiv_pos_as_xyz
'x,y,z'
'-x,-y,-z'
'-x+1/2,-y+1/2,z'
'x+1/2,y+1/2,-z'
'x+1/2,-y,-z'
'-x+1/2,y,z'
'-x,y+1/2,-z'
'x,-y+1/2,z'
loop_
_atom_site_label
_atom_site_fract_x
_atom_site_fract_y
_atom_site_fract_z
Al1 0.2500 0.2500 0.2024
Cu1 0.2500 0.0522 0.8626
Cu2 0.2500 0.7500 0.3214
Si1 0.2500 0.5609 0.5858
Si2 0.2500 0.7500 0.0282
```



Entry 9:
This entry pairs a crystal structure of Ba with its simulated XRD peak list. Radiation: copper Kα. Structure: a GGA-PBE-relaxed structure.
Peak positions follow from Bragg's law for the DFT cell and can differ from measured ones.

The 12 most intense peaks (10° ≤ 2θ ≤ 80°), low angle first:
Position (°2θ), Rel. int.
22.98, 10
23.17, 13
24.31, 38
25.99, 100
26.21, 43
33.66, 14
33.83, 10
43.82, 24
43.96, 11
47.46, 13
47.77, 12
47.94, 12

Structure:
```
data_Ba
_symmetry_space_group_name_H-M 'P 1 21/m 1'
_symmetry_Int_Tables_number 11
_symmetry_space_group_name_Hall '-P 2yb'
_cell_length_a 4.4379
_cell_length_b 7.3239
_cell_length_c 4.4579
_cell_angle_alpha 90.00
_cell_angle_beta 119.30
_cell_angle_gamma 90.00
loop_
_atom_site_label
_atom_site_fract_x
_atom_site_fract_y
_atom_site_fract_z
Ba1 0.1684 0.2500 0.3240
```



Entry 10:
This entry pairs a crystal structure of Ag12Te6Au with its simulated XRD peak list. Radiation: copper Kα. Structure: a GGA-PBE-relaxed structure.
Peak positions follow from Bragg's law for the DFT cell and can differ from measured ones.

The 12 most intense peaks (10° ≤ 2θ ≤ 80°), low angle first:
Position (°2θ), Rel. int.
30.71, 78
32.85, 44
33.35, 65
34.83, 33
36.18, 60
36.73, 98
38.14, 32
38.52, 83
39.12, 54
39.72, 100
42.04, 65
61.94, 32

Structure:
```
data_Ag12Te6Au
_symmetry_space_group_name_H-M 'P -1'
_symmetry_Int_Tables_number 2
_symmetry_space_group_name_Hall '-P 1'
_cell_length_a 7.3546
_cell_length_b 7.7495
_cell_length_c 8.4225
_cell_angle_alpha 86.60
_cell_angle_beta 86.68
_cell_angle_gamma 70.21
loop_
_atom_site_label
_atom_site_fract_x
_atom_site_fract_y
_atom_site_fract_z
Ag1 0.0332 0.0005 0.1893
Ag2 0.0877 0.6422 0.0196
Ag3 0.1148 0.7772 0.5107
Ag4 0.2154 0.4208 0.7100
Ag5 0.3026 0.0906 0.9517
Ag6 0.4015 0.6952 0.7859
Te1 0.1555 0.3216 0.2405
Te2 0.2696 0.0536 0.6197
Te3 0.4023 0.7273 0.1287
Au1 0.5000 0.5000 0.5000
```



Entry 11:
This entry pairs a crystal structure of Fe3Ni4 with its simulated XRD peak list. Radiation: copper Kα. Structure: a GGA-PBE-relaxed structure.
Peak positions follow from Bragg's law for the DFT cell and can differ from measured ones.

The 6 most intense peaks (10° ≤ 2θ ≤ 80°), low angle first:
Position (°2θ), Rel. int.
44.06, 100
44.18, 99
51.31, 31
51.45, 61
75.61, 44
75.92, 9

Structure:
```
data_Fe3Ni4
_symmetry_space_group_name_H-M 'I m m m'
_symmetry_Int_Tables_number 71
_symmetry_space_group_name_Hall '-I 2 2'
_cell_length_a 2.5067
_cell_length_b 3.5610
_cell_length_c 17.6179
_cell_angle_alpha 90.00
_cell_angle_beta 90.00
_cell_angle_gamma 90.00
loop_
_atom_site_label
_atom_site_fract_x
_atom_site_fract_y
_atom_site_fract_z
Fe1 0.0000 0.0000 0.0000
Fe2 0.0000 0.0000 0.1438
Ni1 0.0000 0.0000 0.2862
Ni2 0.0000 0.0000 0.4290
```



Entry 12:
This entry pairs a crystal structure of Tm5Rh2Pb2 with its simulated XRD peak list. Radiation: copper Kα. Structure: a GGA-PBE-relaxed structure.
Peak positions follow from Bragg's law for the DFT cell and can differ from measured ones.

The 12 most intense peaks (10° ≤ 2θ ≤ 80°), low angle first:
Position (°2θ), Rel. int.
27.73, 25
31.61, 77
32.30, 54
33.01, 52
33.37, 75
34.09, 100
35.18, 76
39.71, 47
40.04, 52
59.18, 36
64.97, 24
65.24, 31

Structure:
```
data_Tm5Rh2Pb2
_symmetry_space_group_name_H-M 'C m c e'
_symmetry_Int_Tables_number 64
_symmetry_space_group_name_Hall '-C 2ac 2'
_cell_length_a 15.4489
_cell_length_b 8.3199
_cell_length_c 7.1613
_cell_angle_alpha 90.00
_cell_angle_beta 90.00
_cell_angle_gamma 90.00
loop_
_atom_site_label
_atom_site_fract_x
_atom_site_fract_y
_atom_site_fract_z
Tm1 0.0000 0.0000 0.0000
Tm2 0.1168 0.1757 0.3511
Rh1 0.0000 0.1282 0.6418
Pb1 0.2138 0.0000 0.0000
```



Entry 13:
This entry pairs a crystal structure of AcZn4Ir2 with its simulated XRD peak list. Radiation: copper Kα. Structure: a GGA-PBE-relaxed structure.
Peak positions follow from Bragg's law for the DFT cell and can differ from measured ones.

The 12 most intense peaks (10° ≤ 2θ ≤ 80°), low angle first:
Position (°2θ), Rel. int.
12.14, 37
27.89, 20
30.38, 100
32.37, 36
35.12, 75
37.40, 49
42.55, 82
42.88, 40
43.24, 31
57.94, 28
61.75, 27
61.99, 27

Structure:
```
data_AcZn4Ir2
_symmetry_space_group_name_H-M 'C m m m'
_symmetry_Int_Tables_number 65
_symmetry_space_group_name_Hall '-C 2 2'
_cell_length_a 4.2509
_cell_length_b 14.5772
_cell_length_c 4.2470
_cell_angle_alpha 90.00
_cell_angle_beta 90.00
_cell_angle_gamma 90.00
loop_
_atom_site_label
_atom_site_fract_x
_atom_site_fract_y
_atom_site_fract_z
Ac1 0.0000 0.0000 0.0000
Zn1 0.0000 0.1937 0.5000
Zn2 0.0000 0.3132 0.0000
Ir1 0.0000 0.4140 0.5000
```